Starting from DFT lattice parameters and positions (PBE), the X-ray diffraction stick pattern of Tb2FeCoGe2C was simulated for Cu Kα (weighted mean of Kα1 and Kα2).
Lines closer than 0.1° are merged.

Cell and atoms:
```
data_Tb2FeCoGe2C
_chemical_formula_sum 'Tb2 Fe1 Co1 Ge2 C1'
_space_group_name_H-M_alt 'P 1'
_space_group_IT_number 1
_cell_length_a 5.7100
_cell_length_b 5.7100
_cell_length_c 6.8853
_cell_angle_alpha 125.58
_cell_angle_beta 125.58
_cell_angle_gamma 40.35
loop_
_space_group_symop_operation_xyz
'x,y,z'
loop_
_atom_site_label
_atom_site_type_symbol
_atom_site_fract_x
_atom_site_fract_y
_atom_site_fract_z
Tb1 Tb 0.0000 0.0000 0.0000
Tb2 Tb 0.1175 0.1175 0.5804
Fe1 Fe 0.7515 0.7515 0.3705
Co1 Co 0.3653 0.3653 0.2073
Ge1 Ge 0.3955 0.3955 0.5832
Ge2 Ge 0.7211 0.7211 0.9964
C1 C 0.5615 0.5615 0.2930
```

Principal peaks in the range 2θ from 10° to 90°, by angle:
24.96°, intensity 34
33.16°, intensity 35
33.55°, intensity 48
34.03°, intensity 61
34.89°, intensity 46
36.04°, intensity 100
36.50°, intensity 44
39.45°, intensity 60
41.08°, intensity 38
46.09°, intensity 45


Starting from DFT lattice parameters and positions (PBE), the X-ray diffraction stick pattern of FeCoH18C6N12 was simulated for Cu Kα (weighted mean of Kα1 and Kα2).
Lines closer than 0.1° are merged.

Cell and atoms:
```
data_FeCoH18C6N12
_chemical_formula_sum 'Fe1 Co1 H18 C6 N12'
_space_group_name_H-M_alt 'P 1'
_space_group_IT_number 1
_cell_length_a 7.0583
_cell_length_b 7.0583
_cell_length_c 7.0583
_cell_angle_alpha 97.68
_cell_angle_beta 97.68
_cell_angle_gamma 97.68
loop_
_space_group_symop_operation_xyz
'x,y,z'
loop_
_atom_site_label
_atom_site_type_symbol
_atom_site_fract_x
_atom_site_fract_y
_atom_site_fract_z
Fe1 Fe 0.0000 0.0000 0.0000
Co1 Co 0.5000 0.5000 0.5000
H1 H 0.1503 0.4326 0.3386
H2 H 0.1982 0.6598 0.4433
H3 H 0.2314 0.2687 0.5936
H4 H 0.2687 0.5936 0.2314
H5 H 0.3386 0.1503 0.4326
H6 H 0.3402 0.5567 0.8018
H7 H 0.4064 0.7686 0.7313
H8 H 0.4326 0.3386 0.1503
H9 H 0.4433 0.1982 0.6598
H10 H 0.5567 0.8018 0.3402
H11 H 0.5674 0.6614 0.8497
H12 H 0.5936 0.2314 0.2687
H13 H 0.6598 0.4433 0.1982
H14 H 0.6614 0.8497 0.5674
H15 H 0.7313 0.4064 0.7686
H16 H 0.7686 0.7313 0.4064
H17 H 0.8018 0.3402 0.5567
H18 H 0.8497 0.5674 0.6614
C1 C 0.0499 0.8778 0.7614
C2 C 0.1222 0.2386 0.9501
C3 C 0.2386 0.9501 0.1222
C4 C 0.7614 0.0499 0.8778
C5 C 0.8778 0.7614 0.0499
C6 C 0.9501 0.1222 0.2386
N1 N 0.0753 0.7985 0.6112
N2 N 0.2015 0.3888 0.9247
N3 N 0.2561 0.5525 0.3638
N4 N 0.3638 0.2561 0.5525
N5 N 0.3888 0.9247 0.2015
N6 N 0.4475 0.6362 0.7439
N7 N 0.5525 0.3638 0.2561
N8 N 0.6112 0.0753 0.7985
N9 N 0.6362 0.7439 0.4475
N10 N 0.7439 0.4475 0.6362
N11 N 0.7985 0.6112 0.0753
N12 N 0.9247 0.2015 0.3888
```

Principal peaks in the range 2θ from 10° to 90°, by angle:
16.68°, intensity 100
19.52°, intensity 54
25.78°, intensity 15
30.87°, intensity 78
39.27°, intensity 9
43.27°, intensity 19
45.14°, intensity 14
46.37°, intensity 11
49.92°, intensity 14
71.67°, intensity 7


Starting from DFT lattice parameters and positions (PBE), the X-ray diffraction stick pattern of GaCoMoC was simulated for Cu Kα (weighted mean of Kα1 and Kα2).
Lines closer than 0.1° are merged.

Cell and atoms:
```
data_GaCoMoC
_chemical_formula_sum 'Ga2 Co2 Mo2 C2'
_space_group_name_H-M_alt 'P 1'
_space_group_IT_number 1
_cell_length_a 2.9793
_cell_length_b 2.9793
_cell_length_c 12.5153
_cell_angle_alpha 90.00
_cell_angle_beta 90.00
_cell_angle_gamma 120.00
loop_
_space_group_symop_operation_xyz
'x,y,z'
loop_
_atom_site_label
_atom_site_type_symbol
_atom_site_fract_x
_atom_site_fract_y
_atom_site_fract_z
Ga1 Ga 0.3333 0.6667 0.2724
Ga2 Ga 0.6667 0.3333 0.7276
Co1 Co 0.3333 0.6667 0.5721
Co2 Co 0.6667 0.3333 0.4279
Mo1 Mo 0.3333 0.6667 0.9019
Mo2 Mo 0.6667 0.3333 0.0981
C1 C 0.0000 0.0000 0.0000
C2 C 0.0000 0.0000 0.5000
```

Principal peaks in the range 2θ from 10° to 90°, by angle:
34.77°, intensity 25
35.88°, intensity 7
37.71°, intensity 11
41.14°, intensity 100
43.38°, intensity 12
56.75°, intensity 11
62.33°, intensity 22
70.38°, intensity 7
77.44°, intensity 14
78.98°, intensity 12


Starting from DFT lattice parameters and positions (PBE), the X-ray diffraction stick pattern of Y4GaCoC2 was simulated for Cu Kα (weighted mean of Kα1 and Kα2).
Lines closer than 0.1° are merged.

Cell and atoms:
```
data_Y4GaCoC2
_chemical_formula_sum 'Y4 Ga1 Co1 C2'
_space_group_name_H-M_alt 'P 1'
_space_group_IT_number 1
_cell_length_a 3.5758
_cell_length_b 3.5758
_cell_length_c 14.5623
_cell_angle_alpha 90.00
_cell_angle_beta 90.00
_cell_angle_gamma 120.00
loop_
_space_group_symop_operation_xyz
'x,y,z'
loop_
_atom_site_label
_atom_site_type_symbol
_atom_site_fract_x
_atom_site_fract_y
_atom_site_fract_z
Y1 Y 0.0000 0.0000 0.1386
Y2 Y 0.0000 0.0000 0.8614
Y3 Y 0.6667 0.3333 0.3269
Y4 Y 0.6667 0.3333 0.6731
Ga1 Ga 0.0000 0.0000 0.5000
Co1 Co 0.6667 0.3333 0.0000
C1 C 0.3333 0.6667 0.2371
C2 C 0.3333 0.6667 0.7629
```

Principal peaks in the range 2θ from 10° to 90°, by angle:
28.83°, intensity 25
34.35°, intensity 100
37.04°, intensity 12
47.60°, intensity 12
51.09°, intensity 25
58.85°, intensity 8
63.02°, intensity 16
64.76°, intensity 13
65.04°, intensity 6
85.30°, intensity 14


Starting from DFT lattice parameters and positions (PBE), the X-ray diffraction stick pattern of GdLuCo2C2 was simulated for Cu Kα (weighted mean of Kα1 and Kα2).
Lines closer than 0.1° are merged.

Cell and atoms:
```
data_GdLuCo2C2
_chemical_formula_sum 'Gd1 Lu1 Co2 C2'
_space_group_name_H-M_alt 'P 1'
_space_group_IT_number 1
_cell_length_a 3.6064
_cell_length_b 3.6064
_cell_length_c 6.8271
_cell_angle_alpha 90.00
_cell_angle_beta 90.00
_cell_angle_gamma 90.00
loop_
_space_group_symop_operation_xyz
'x,y,z'
loop_
_atom_site_label
_atom_site_type_symbol
_atom_site_fract_x
_atom_site_fract_y
_atom_site_fract_z
Gd1 Gd 0.0000 0.0000 0.0000
Lu1 Lu 0.0000 0.0000 0.5000
Co1 Co 0.5000 0.5000 0.2694
Co2 Co 0.5000 0.5000 0.7306
C1 C 0.0000 0.5000 0.2616
C2 C 0.5000 0.0000 0.7384
```

Principal peaks in the range 2θ from 10° to 90°, by angle:
24.69°, intensity 27
26.10°, intensity 10
35.19°, intensity 50
36.23°, intensity 100
44.34°, intensity 15
50.62°, intensity 21
63.83°, intensity 37
65.85°, intensity 15
76.91°, intensity 11
85.67°, intensity 8


Starting from DFT lattice parameters and positions (PBE), the X-ray diffraction stick pattern of Gd2YCo2C2N3 was simulated for Cu Kα (weighted mean of Kα1 and Kα2).
Lines closer than 0.1° are merged.

Cell and atoms:
```
data_Gd2YCo2C2N3
_chemical_formula_sum 'Gd2 Y1 Co2 C2 N3'
_space_group_name_H-M_alt 'P 1'
_space_group_IT_number 1
_cell_length_a 10.0416
_cell_length_b 10.0416
_cell_length_c 10.0416
_cell_angle_alpha 160.10
_cell_angle_beta 160.10
_cell_angle_gamma 28.29
loop_
_space_group_symop_operation_xyz
'x,y,z'
loop_
_atom_site_label
_atom_site_type_symbol
_atom_site_fract_x
_atom_site_fract_y
_atom_site_fract_z
Gd1 Gd 0.1277 0.1277 0.0000
Gd2 Gd 0.8723 0.8723 0.0000
Y1 Y 0.5000 0.5000 0.0000
Co1 Co 0.2500 0.7500 0.5000
Co2 Co 0.7500 0.2500 0.5000
C1 C 0.3062 0.3062 0.0000
C2 C 0.6938 0.6938 0.0000
N1 N 0.0000 0.0000 0.0000
N2 N 0.3793 0.3793 0.0000
N3 N 0.6207 0.6207 0.0000
```

Principal peaks in the range 2θ from 10° to 90°, by angle:
29.18°, intensity 100
34.62°, intensity 68
36.63°, intensity 43
36.93°, intensity 55
37.81°, intensity 29
41.20°, intensity 68
46.39°, intensity 27
52.76°, intensity 43
61.43°, intensity 27
66.14°, intensity 37


Starting from DFT lattice parameters and positions (PBE), the X-ray diffraction stick pattern of GdTmCo2C2 was simulated for Cu Kα (weighted mean of Kα1 and Kα2).
Lines closer than 0.1° are merged.

Cell and atoms:
```
data_GdTmCo2C2
_chemical_formula_sum 'Gd1 Tm1 Co2 C2'
_space_group_name_H-M_alt 'P 1'
_space_group_IT_number 1
_cell_length_a 3.6121
_cell_length_b 3.6121
_cell_length_c 6.8893
_cell_angle_alpha 90.00
_cell_angle_beta 90.00
_cell_angle_gamma 90.00
loop_
_space_group_symop_operation_xyz
'x,y,z'
loop_
_atom_site_label
_atom_site_type_symbol
_atom_site_fract_x
_atom_site_fract_y
_atom_site_fract_z
Gd1 Gd 0.0000 0.0000 0.0000
Tm1 Tm 0.0000 0.0000 0.5000
Co1 Co 0.5000 0.5000 0.2642
Co2 Co 0.5000 0.5000 0.7358
C1 C 0.0000 0.5000 0.2578
C2 C 0.5000 0.0000 0.7422
```

Principal peaks in the range 2θ from 10° to 90°, by angle:
24.65°, intensity 26
25.86°, intensity 9
35.13°, intensity 49
36.03°, intensity 100
44.14°, intensity 14
50.54°, intensity 21
53.18°, intensity 8
63.62°, intensity 37
65.35°, intensity 16
76.41°, intensity 11


Starting from DFT lattice parameters and positions (PBE), the X-ray diffraction stick pattern of YHoCo2Ge2C was simulated for Cu Kα (weighted mean of Kα1 and Kα2).
Lines closer than 0.1° are merged.

Cell and atoms:
```
data_YHoCo2Ge2C
_chemical_formula_sum 'Y1 Ho1 Co2 Ge2 C1'
_space_group_name_H-M_alt 'P 1'
_space_group_IT_number 1
_cell_length_a 5.7028
_cell_length_b 5.7028
_cell_length_c 6.8368
_cell_angle_alpha 125.61
_cell_angle_beta 125.61
_cell_angle_gamma 40.19
loop_
_space_group_symop_operation_xyz
'x,y,z'
loop_
_atom_site_label
_atom_site_type_symbol
_atom_site_fract_x
_atom_site_fract_y
_atom_site_fract_z
Y1 Y 0.0000 0.0000 0.0000
Ho1 Ho 0.1190 0.1190 0.5841
Co1 Co 0.3684 0.3684 0.2116
Co2 Co 0.7522 0.7522 0.3751
Ge1 Ge 0.3981 0.3981 0.5902
Ge2 Ge 0.7214 0.7214 0.9944
C1 C 0.5609 0.5609 0.2954
```

Principal peaks in the range 2θ from 10° to 90°, by angle:
33.41°, intensity 30
33.72°, intensity 50
34.14°, intensity 81
34.89°, intensity 43
36.30°, intensity 100
36.67°, intensity 40
39.54°, intensity 69
41.30°, intensity 41
46.34°, intensity 47
65.62°, intensity 28


Starting from DFT lattice parameters and positions (PBE), the X-ray diffraction stick pattern of LaNdCo2Ge2C was simulated for Cu Kα (weighted mean of Kα1 and Kα2).
Lines closer than 0.1° are merged.

Cell and atoms:
```
data_LaNdCo2Ge2C
_chemical_formula_sum 'La1 Nd1 Co2 Ge2 C1'
_space_group_name_H-M_alt 'P 1'
_space_group_IT_number 1
_cell_length_a 5.9067
_cell_length_b 5.9067
_cell_length_c 7.1203
_cell_angle_alpha 126.06
_cell_angle_beta 126.06
_cell_angle_gamma 40.25
loop_
_space_group_symop_operation_xyz
'x,y,z'
loop_
_atom_site_label
_atom_site_type_symbol
_atom_site_fract_x
_atom_site_fract_y
_atom_site_fract_z
La1 La 0.0000 0.0000 0.0000
Nd1 Nd 0.1193 0.1193 0.5976
Co1 Co 0.3751 0.3751 0.2242
Co2 Co 0.7448 0.7448 0.3750
Ge1 Ge 0.3842 0.3842 0.5693
Ge2 Ge 0.7355 0.7355 0.0294
C1 C 0.5603 0.5603 0.3018
```

Principal peaks in the range 2θ from 10° to 90°, by angle:
32.28°, intensity 38
32.60°, intensity 81
32.92°, intensity 93
33.79°, intensity 50
34.93°, intensity 100
35.23°, intensity 59
38.30°, intensity 79
39.58°, intensity 44
44.58°, intensity 58
63.04°, intensity 37


Starting from DFT lattice parameters and positions (PBE), the X-ray diffraction stick pattern of La2Co2SnGeC was simulated for Cu Kα (weighted mean of Kα1 and Kα2).
Lines closer than 0.1° are merged.

Cell and atoms:
```
data_La2Co2SnGeC
_chemical_formula_sum 'La2 Co2 Sn1 Ge1 C1'
_space_group_name_H-M_alt 'P 1'
_space_group_IT_number 1
_cell_length_a 6.0588
_cell_length_b 6.0588
_cell_length_c 7.3575
_cell_angle_alpha 126.27
_cell_angle_beta 126.27
_cell_angle_gamma 40.87
loop_
_space_group_symop_operation_xyz
'x,y,z'
loop_
_atom_site_label
_atom_site_type_symbol
_atom_site_fract_x
_atom_site_fract_y
_atom_site_fract_z
La1 La 0.0000 0.0000 0.0000
La2 La 0.1123 0.1123 0.6449
Co1 Co 0.3674 0.3674 0.5474
Co2 Co 0.7256 0.7256 0.1024
Sn1 Sn 0.3852 0.3852 0.2112
Ge1 Ge 0.7328 0.7328 0.4417
C1 C 0.5494 0.5494 0.8204
```

Principal peaks in the range 2θ from 10° to 90°, by angle:
31.58°, intensity 58
31.92°, intensity 82
32.04°, intensity 50
32.60°, intensity 52
33.70°, intensity 79
34.02°, intensity 86
37.28°, intensity 100
37.88°, intensity 56
42.74°, intensity 65
60.00°, intensity 46


Starting from DFT lattice parameters and positions (PBE), the X-ray diffraction stick pattern of LaTbCo2Ge2C was simulated for Cu Kα (weighted mean of Kα1 and Kα2).
Lines closer than 0.1° are merged.

Cell and atoms:
```
data_LaTbCo2Ge2C
_chemical_formula_sum 'La1 Tb1 Co2 Ge2 C1'
_space_group_name_H-M_alt 'P 1'
_space_group_IT_number 1
_cell_length_a 5.8514
_cell_length_b 5.8514
_cell_length_c 7.0324
_cell_angle_alpha 126.05
_cell_angle_beta 126.05
_cell_angle_gamma 40.25
loop_
_space_group_symop_operation_xyz
'x,y,z'
loop_
_atom_site_label
_atom_site_type_symbol
_atom_site_fract_x
_atom_site_fract_y
_atom_site_fract_z
La1 La 0.0000 0.0000 0.0000
Tb1 Tb 0.8832 0.8832 0.4092
Co1 Co 0.2523 0.2523 0.6219
Co2 Co 0.6260 0.6260 0.7763
Ge1 Ge 0.2694 0.2694 0.9829
Ge2 Ge 0.6122 0.6122 0.4238
C1 C 0.4359 0.4359 0.6872
```

Principal peaks in the range 2θ from 10° to 90°, by angle:
32.68°, intensity 36
32.95°, intensity 66
33.24°, intensity 87
34.10°, intensity 47
35.35°, intensity 100
35.61°, intensity 53
38.67°, intensity 73
40.06°, intensity 41
45.03°, intensity 52
63.71°, intensity 33


Starting from DFT lattice parameters and positions (PBE), the X-ray diffraction stick pattern of NdLuCo2Ge2C was simulated for Cu Kα (weighted mean of Kα1 and Kα2).
Lines closer than 0.1° are merged.

Cell and atoms:
```
data_NdLuCo2Ge2C
_chemical_formula_sum 'Nd1 Lu1 Co2 Ge2 C1'
_space_group_name_H-M_alt 'P 1'
_space_group_IT_number 1
_cell_length_a 5.7542
_cell_length_b 5.7542
_cell_length_c 6.8998
_cell_angle_alpha 125.93
_cell_angle_beta 125.93
_cell_angle_gamma 40.19
loop_
_space_group_symop_operation_xyz
'x,y,z'
loop_
_atom_site_label
_atom_site_type_symbol
_atom_site_fract_x
_atom_site_fract_y
_atom_site_fract_z
Nd1 Nd 0.0000 0.0000 0.0000
Lu1 Lu 0.1176 0.1176 0.5848
Co1 Co 0.3720 0.3720 0.2190
Co2 Co 0.7537 0.7537 0.3801
Ge1 Ge 0.3961 0.3961 0.5869
Ge2 Ge 0.7229 0.7229 0.9985
C1 C 0.5666 0.5666 0.3137
```

Principal peaks in the range 2θ from 10° to 90°, by angle:
24.87°, intensity 33
33.26°, intensity 33
33.52°, intensity 50
33.83°, intensity 81
34.65°, intensity 44
36.02°, intensity 100
36.30°, intensity 45
39.31°, intensity 61
40.85°, intensity 37
45.90°, intensity 45